No. 1
SmDy2Mg: theoretical powder XRD pattern (a wavelength of 1.5418 Å), based on a DFT-relaxed cell (PBE, Alexandria).

Main lines, in order of rising 2θ (15 to 90 degrees two-theta):
26.51 deg, I = 17, hkl 2 0 0
31.45 deg, I = 100, hkl 2 0 1
35.17 deg, I = 38, hkl 2 2 -1
38.98 deg, I = 13, hkl 0 0 4
46.19 deg, I = 7, hkl 2 2 2
50.58 deg, I = 14, hkl 0 4 0
53.50 deg, I = 21, hkl 2 2 3
60.79 deg, I = 31, hkl 4 2 0
65.65 deg, I = 11, hkl 0 4 4
65.93 deg, I = 10, hkl 0 2 6

Atomic structure:
```
SmDy2Mg
1.0
7.217 0.000 0.000
0.000 7.219 0.000
-3.597 0.000 9.242
Sm Dy Mg
4 8 4
direct
0.132 0.000 0.263
0.368 0.500 0.737
0.632 0.500 0.263
0.868 0.000 0.737
0.134 0.500 0.267
0.250 0.250 0.000
0.250 0.750 0.000
0.366 0.000 0.733
0.634 0.000 0.267
0.750 0.250 0.000
0.750 0.750 0.000
0.866 0.500 0.733
0.000 0.250 0.500
0.000 0.750 0.500
0.500 0.250 0.500
0.500 0.750 0.500
```

No. 2
Sm2Dy6Mg: theoretical powder XRD pattern (a wavelength of 1.5418 Å), based on a DFT-relaxed cell (PBE, Alexandria).

Main lines, in order of rising 2θ (15 to 90 degrees two-theta):
31.00 deg, I = 100, hkl 1 4 1
31.43 deg, I = 23, hkl 1 5 0
32.00 deg, I = 53, hkl 2 0 1
32.31 deg, I = 47, hkl 0 0 2
32.50 deg, I = 29, hkl 2 1 1
35.46 deg, I = 25, hkl 1 5 1
45.70 deg, I = 16, hkl 1 5 2
47.98 deg, I = 26, hkl 3 4 0
56.80 deg, I = 19, hkl 1 4 3
59.03 deg, I = 28, hkl 3 4 2

Atomic structure:
```
Sm2Dy6Mg
1.0
6.480 0.000 0.000
0.000 15.840 0.000
0.000 0.000 5.542
Sm Dy Mg
4 12 2
direct
0.230 0.193 0.000
0.270 0.693 0.000
0.730 0.307 0.000
0.770 0.807 0.000
0.079 0.595 0.500
0.090 0.807 0.500
0.247 0.445 0.000
0.253 0.945 0.000
0.410 0.307 0.500
0.421 0.095 0.500
0.579 0.905 0.500
0.590 0.693 0.500
0.747 0.055 0.000
0.753 0.555 0.000
0.910 0.193 0.500
0.921 0.405 0.500
0.000 0.000 0.500
0.500 0.500 0.500
```